Diffraction record for LiCoSiO4. The powder diffraction line list is calculated, not measured: it uses a crystal structure in the Materials Project, relaxed with PBE+U and CuKα.

Most intense lines, 2θ = 15–90°, sorted by position:
d_spacing  Position (°2θ)  I (rel.)  h k l
4.056  21.91  100  1 1 0
3.725  23.89  7  1 0 1
3.258  27.37  18  1 1 -1
2.695  33.24  29  1 2 0
2.677  33.48  15  0 0 2
2.656  33.74  16  2 0 0
2.205  40.93  6  2 1 1
1.828  49.89  6  1 3 -1
1.644  55.93  6  1 1 -3
1.562  59.15  6  0 4 0
1.549  59.67  9  0 2 3
1.541  60.06  9  3 2 0

Structure:
```
data_LiCoSiO4
_chemical_formula_sum 'Li2 Co2 Si2 O8'
_cell_length_a 5.3144
_cell_length_b 6.2469
_cell_length_c 5.3552
_cell_angle_alpha 90.00
_cell_angle_beta 91.42
_cell_angle_gamma 90.00
_space_group_name_H-M_alt 'P 1 21 1'
_space_group_IT_number 4
_space_group_name_Hall 'P 2yb'
loop_
_atom_site_label
_atom_site_fract_x
_atom_site_fract_y
_atom_site_fract_z
Li1 0.1883 0.0000 0.1703
Co1 0.3209 0.2506 0.6740
Si1 0.1801 0.4990 0.1796
O1 0.1252 0.0284 0.7879
O2 0.2010 0.4655 0.8757
O3 0.2742 0.2821 0.3291
O4 0.3326 0.7173 0.2638
```

Diffraction record for LiCoSiO4. The powder diffraction line list is calculated, not measured: it uses a crystal structure in the Materials Project, relaxed with PBE+U and CuKα.

Most intense lines, 2θ = 15–90°, sorted by position:
d_spacing  Position (°2θ)  I (rel.)  h k l
4.121  21.57  100  1 1 -1
4.090  21.73  40  0 0 2
3.965  22.42  85  2 0 0
3.312  26.92  76  1 0 2
3.232  27.60  24  1 1 -2
3.182  28.05  35  2 1 -1
2.796  32.01  36  2 1 -2
2.639  33.97  32  0 2 0
2.512  35.74  14  0 2 1
2.424  37.09  19  0 1 3
2.002  45.31  18  3 0 2
1.552  59.55  21  2 3 -2

Structure:
```
data_LiCoSiO4
_chemical_formula_sum 'Li4 Co4 Si4 O16'
_cell_length_a 8.1983
_cell_length_b 5.2787
_cell_length_c 8.4643
_cell_angle_alpha 90.00
_cell_angle_beta 104.68
_cell_angle_gamma 90.00
_space_group_name_H-M_alt 'P 1 c 1'
_space_group_IT_number 7
_space_group_name_Hall 'P -2yc'
loop_
_atom_site_label
_atom_site_fract_x
_atom_site_fract_y
_atom_site_fract_z
Li1 0.0000 0.1560 0.0000
Li2 0.4612 0.3289 0.2969
Co1 0.0971 0.3302 0.3632
Co2 0.6040 0.1794 0.6999
Si1 0.2279 0.1729 0.7423
Si2 0.7200 0.3243 0.0731
O1 0.0943 0.1834 0.5596
O2 0.1415 0.3210 0.8724
O3 0.2598 0.1274 0.2950
O4 0.4049 0.3138 0.7391
O5 0.5859 0.1648 0.1504
O6 0.6454 0.3853 0.5382
O7 0.7524 0.2069 0.9036
O8 0.9113 0.2988 0.1912
```

Diffraction record for Li2Co2Si2O7. The powder diffraction line list is calculated, not measured: it uses a crystal structure in the Materials Project, relaxed with PBE+U and CuKα.

Most intense lines, 2θ = 15–90°, sorted by position:
d_spacing  Position (°2θ)  I (rel.)  h k l
4.337  20.48  59  0 1 1
4.167  21.32  28  0 2 0
4.120  21.57  34  1 1 1
3.974  22.37  22  1 2 0
2.626  34.14  100  4 1 1
2.539  35.35  24  0 0 2
2.437  36.88  48  0 3 1
2.013  45.05  15  4 0 2
1.812  50.35  38  4 2 2
1.762  51.89  18  4 4 0
1.482  62.68  13  4 1 3
1.447  64.40  30  0 3 3

Structure:
```
data_Li2Co2Si2O7
_chemical_formula_sum 'Li8 Co8 Si8 O28'
_cell_length_a 13.2008
_cell_length_b 8.3349
_cell_length_c 5.0787
_cell_angle_alpha 90.00
_cell_angle_beta 90.00
_cell_angle_gamma 90.00
_space_group_name_H-M_alt 'A m a 2'
_space_group_IT_number 40
_space_group_name_Hall 'A 2 -2a'
loop_
_atom_site_label
_atom_site_fract_x
_atom_site_fract_y
_atom_site_fract_z
Li1 0.0838 0.2018 0.0000
Co1 0.0000 0.0000 0.5186
Co2 0.2500 0.0008 0.5377
Si1 0.1370 0.3496 0.4990
O1 0.0526 0.2226 0.3999
O2 0.1296 0.0096 0.8084
O3 0.1360 0.3984 0.8104
O4 0.2500 0.2590 0.4344
```

Diffraction record for Li2Co2Si2O7. The powder diffraction line list is calculated, not measured: it uses a crystal structure in the Materials Project, relaxed with PBE+U and CuKα.

Most intense lines, 2θ = 15–90°, sorted by position:
d_spacing  Position (°2θ)  I (rel.)  h k l
4.839  18.33  48  0 2 0
4.551  19.50  34  1 2 0
4.391  20.22  65  0 1 1
3.923  22.67  50  2 2 0
3.350  26.61  61  4 0 0
3.131  28.51  100  3 1 1
2.699  33.19  29  0 3 1
2.646  33.88  31  1 3 1
2.464  36.47  46  0 0 2
2.310  38.99  45  3 3 1
2.028  44.69  28  6 2 0
1.391  67.32  21  3 3 3

Structure:
```
data_Li2Co2Si2O7
_chemical_formula_sum 'Li8 Co8 Si8 O28'
_cell_length_a 13.3990
_cell_length_b 9.6776
_cell_length_c 4.9278
_cell_angle_alpha 90.00
_cell_angle_beta 90.00
_cell_angle_gamma 90.00
_space_group_name_H-M_alt 'A m a 2'
_space_group_IT_number 40
_space_group_name_Hall 'A 2 -2a'
loop_
_atom_site_label
_atom_site_fract_x
_atom_site_fract_y
_atom_site_fract_z
Li1 0.0000 0.0000 0.0000
Li2 0.2500 0.0038 0.9935
Co1 0.0812 0.2769 0.0772
Si1 0.1377 0.1018 0.5575
O1 0.0619 0.2173 0.6932
O2 0.1236 0.0929 0.2287
O3 0.1264 0.4534 0.2125
O4 0.2500 0.1615 0.6412
```